For KCaCl2, a cell relaxed with PBE gives the theoretical powder XRD pattern in this record (CuKα).

Crystal structure
Lattice parameters (Å, degrees): 4.0630 4.0630 8.2724 90.00 90.00 90.00
Space group P4mm (No. 99)
Unique sites:
K1 0.0000 0.0000 0.0000
Ca1 0.5000 0.5000 0.5156
Cl1 0.0000 0.0000 0.5393
Cl2 0.5000 0.5000 0.8412

Main lines, in order of rising 2θ (10° ≤ 2θ ≤ 80°):
2θ (°)  Rel. int.
10.69  66
21.48  56
24.41  23
30.85  33
31.13  100
38.14  45
39.50  33
44.60  33
50.02  19
61.08  16

For KCa2Cl, a cell relaxed with PBE gives the theoretical powder XRD pattern in this record (CuKα).

Crystal structure
Lattice parameters (Å, degrees): 4.0059 3.8309 10.4240 90.00 101.06 90.00
Space group Pm (No. 6)
Unique sites:
K1 0.0000 0.0000 0.0000
Ca1 0.3262 0.5000 0.6562
Ca2 0.6929 0.0000 0.3878
Cl1 0.5872 0.5000 0.1731

Main lines, in order of rising 2θ (10° ≤ 2θ ≤ 80°):
2θ (°)  Rel. int.
25.79  100
26.13  16
29.12  91
32.64  64
34.98  27
35.24  15
38.11  17
45.11  30
45.27  16
54.77  46

For KCaCl2, a cell relaxed with PBE gives the theoretical powder XRD pattern in this record (CuKα).

Crystal structure
Lattice parameters (Å, degrees): 4.2496 3.9317 7.5584 90.00 90.22 90.00
Space group P2/m (No. 10)
Unique sites:
K1 0.0000 0.0000 0.0000
Ca1 0.5000 0.0000 0.5000
Cl1 0.4982 0.5000 0.2352

Main lines, in order of rising 2θ (10° ≤ 2θ ≤ 80°):
2θ (°)  Rel. int.
20.90  41
24.02  58
30.99  25
32.87  100
33.23  66
42.55  23
46.18  17
48.16  14
54.71  20
54.87  19

For KNa3Ca4Cl12, a cell relaxed with PBE gives the theoretical powder XRD pattern in this record (CuKα).

Crystal structure
Lattice parameters (Å, degrees): 10.3710 10.3710 10.3710 90.00 90.00 90.00
Space group Im-3 (No. 204)
Unique sites:
K1 0.0000 0.0000 0.0000
Na1 0.0000 0.0000 0.5000
Ca1 0.2500 0.2500 0.2500
Cl1 0.0000 0.1814 0.3030

Main lines, in order of rising 2θ (10° ≤ 2θ ≤ 80°):
2θ (°)  Rel. int.
17.10  32
24.27  39
27.19  100
32.30  77
34.60  65
38.83  25
42.71  88
51.37  42
54.55  30
78.21  42

- Which formula does entry 4 have?
  KNa3Ca4Cl12